Diffraction record for Pm4TmIn. The PXRD pattern is simulated, not measured: it uses a GGA-PBE-relaxed structure and Cu Kα X-rays.
Peak positions follow from Bragg's law for the DFT cell and can differ from measured ones.

Peak list (6 most intense, 10 to 90 degrees two-theta, low angle first)
d (Å)  2θ (°)  I_rel
3.196  27.91  43
3.163  28.22  32
2.876  31.10  68
2.775  32.25  77
2.720  32.93  100
2.685  33.37  60

Cell and atoms:
a b c (Å): 8.4462 8.4462 6.4877
angles (deg): 100.19 100.19 116.61
Sites, in units of the cell vectors:
Pm 0.0933 0.7133 0.9560
Pm 0.1675 0.4063 0.6226
Pm 0.2867 0.9067 0.5440
Pm 0.4063 0.1675 0.1226
Pm 0.5937 0.8325 0.8774
Pm 0.7133 0.0933 0.4560
Pm 0.8325 0.5937 0.3774
Pm 0.9067 0.2867 0.0440
Tm 0.4118 0.5882 0.2500
Tm 0.5882 0.4118 0.7500
In 0.0003 0.9997 0.2500
In 0.9997 0.0003 0.7500